(1)
Diffraction record for V2Cu3NiO6. The powder XRD pattern is simulated, not measured: it uses a DFT-relaxed cell (GGA+U, the Materials Project) and λ = 1.5418 Å (Cu Kα).
Neutral-atom scattering factors, no anomalous dispersion.

Main lines, by angle (2θ = 10–80°):
| (hkl) | 2θ (°) | d [Å] | I_rel |
| --- | --- | --- | --- |
| 0 0 2 | 31.0 | 2.883 | 45 |
| 2 0 0 | 35.4 | 2.535 | 51 |
| 1 3 -1 | 35.8 | 2.511 | 100 |
| 2 0 -2 | 40.1 | 2.249 | 57 |
| 1 3 -3 | 55.1 | 1.667 | 30 |
| 3 3 -1 | 60.8 | 1.524 | 25 |

Crystal structure
Lattice parameters (Å, degrees): 5.2925 9.0763 6.0189 90.00 106.69 90.00
Space group C2 (No. 5)
One atom of each set of equivalent atoms:
V 0.0000 0.0000 0.0000 x2
V 0.0000 0.3338 0.0000 x2
Cu 0.0000 0.1637 0.5000 x2
Cu 0.0000 0.4968 0.5000 x2
Cu 0.0000 0.8374 0.5000 x2
Ni 0.0000 0.6657 0.0000 x2
O 0.0963 0.1620 0.8203 x4
O 0.1039 0.8410 0.8204 x4
O 0.1216 0.4953 0.8199 x4

=====

(2)
Diffraction record for Na4MgNi2O6. The powder XRD pattern is simulated, not measured: it uses a DFT-relaxed cell (GGA+U, the Materials Project) and λ = 1.5418 Å (Cu Kα).
Neutral-atom scattering factors, no anomalous dispersion.

Main lines, by angle (2θ = 10–80°):
| (hkl) | 2θ (°) | d [Å] | I_rel |
| --- | --- | --- | --- |
| 0 0 1 | 13.9 | 6.374 | 100 |
| 0 0 2 | 28.0 | 3.190 | 34 |
| 1 3 0 | 33.8 | 2.650 | 46 |
| 0 2 2 | 33.9 | 2.642 | 26 |
| 1 3 -1 | 34.3 | 2.615 | 26 |
| 1 3 1 | 39.0 | 2.308 | 39 |

Crystal structure
Lattice parameters (Å, degrees): 5.1901 9.4471 6.7401 90.00 108.96 90.00
Space group Cm (No. 8)
One atom of each set of equivalent atoms:
Na 0.0000 0.0000 0.0000 x2
Na 0.0346 0.5000 0.1627 x2
Na 0.2414 0.1958 0.3680 x4
Mg 0.4512 0.5000 0.5995 x2
Ni 0.0199 0.3129 0.8407 x4
O 0.2442 0.3321 0.6628 x4
O 0.3228 0.2105 0.0326 x4
O 0.3440 0.0000 0.7782 x2
O 0.4717 0.5000 0.3219 x2

=====

(3)
Diffraction record for SrNdZrNiO6. The powder XRD pattern is simulated, not measured: it uses a DFT-relaxed cell (GGA+U, the Materials Project) and λ = 1.5418 Å (Cu Kα).
Neutral-atom scattering factors, no anomalous dispersion.

Main lines, by angle (2θ = 10–80°):
| (hkl) | 2θ (°) | d [Å] | I_rel |
| --- | --- | --- | --- |
| 2 2 0 | 31.6 | 2.830 | 100 |
| 2 2 2 | 39.0 | 2.310 | 9 |
| 4 0 0 | 45.3 | 2.001 | 33 |
| 4 2 2 | 56.3 | 1.634 | 39 |
| 4 4 0 | 66.0 | 1.415 | 20 |
| 6 2 0 | 75.1 | 1.265 | 17 |

Crystal structure
Lattice parameters (Å, degrees): 8.0030 8.0030 8.0030 90.00 90.00 90.00
Space group F-43m (No. 216)
One atom of each set of equivalent atoms:
Sr 0.0000 0.0000 0.0000 x4
Nd 0.0000 0.0000 0.5000 x4
Zr 0.2500 0.2500 0.2500 x4
Ni 0.2500 0.2500 0.7500 x4
O 0.0072 0.2500 0.7500 x24

=====

(4)
Diffraction record for MgIn6WO12. The powder XRD pattern is simulated, not measured: it uses a DFT-relaxed cell (GGA+U, the Materials Project) and λ = 1.5418 Å (Cu Kα).
Neutral-atom scattering factors, no anomalous dispersion.

Main lines, by angle (2θ = 10–80°):
| (hkl) | 2θ (°) | d [Å] | I_rel |
| --- | --- | --- | --- |
| 0 0 3 | 24.7 | 3.607 | 51 |
| 2 0 2 | 27.8 | 3.209 | 22 |
| 3 -1 1 | 30.8 | 2.902 | 100 |
| 1 2 2 | 34.1 | 2.632 | 54 |
| 3 -1 4 | 45.0 | 2.013 | 30 |
| 4 1 0 | 52.6 | 1.740 | 28 |

Crystal structure
Lattice parameters (Å, degrees): 9.2046 9.2046 10.8205 90.00 90.00 120.00
Space group R-3 (No. 148, hexagonal axes)
One atom of each set of equivalent atoms:
Mg 0.0000 0.0000 0.0000 x3
In 0.0360 0.7775 0.2037 x18
W 0.0000 0.0000 0.5000 x3
O 0.0219 0.8334 0.8790 x18
O 0.0282 0.8233 0.4014 x18

=====

(5)
Diffraction record for LiCoOF2. The powder XRD pattern is simulated, not measured: it uses a DFT-relaxed cell (GGA+U, the Materials Project) and λ = 1.5418 Å (Cu Kα).
Neutral-atom scattering factors, no anomalous dispersion.

Main lines, by angle (2θ = 10–80°):
| (hkl) | 2θ (°) | d [Å] | I_rel |
| --- | --- | --- | --- |
| 2 0 0 | 17.5 | 5.078 | 100 |
| 0 2 0 | 23.7 | 3.747 | 27 |
| 2 2 0 | 29.6 | 3.015 | 27 |
| 2 0 -2 | 29.9 | 2.992 | 27 |
| 2 2 -1 | 30.4 | 2.943 | 28 |
| 0 0 2 | 31.5 | 2.838 | 36 |

Crystal structure
Lattice parameters (Å, degrees): 10.9285 7.4938 6.1070 90.00 111.66 90.00
Space group C2/c (No. 15)
One atom of each set of equivalent atoms:
Li 0.0000 0.0920 0.2500 x4
Li 0.0000 0.3078 0.7500 x4
Co 0.2311 0.4432 0.2669 x8
O 0.1460 0.4622 0.9343 x8
F 0.0877 0.1300 0.6353 x8
F 0.1703 0.1872 0.2544 x8

=====

(6)
Diffraction record for Li2MnCr2O6. The powder XRD pattern is simulated, not measured: it uses a DFT-relaxed cell (GGA+U, the Materials Project) and λ = 1.5418 Å (Cu Kα).
Neutral-atom scattering factors, no anomalous dispersion.

Main lines, by angle (2θ = 10–80°):
| (hkl) | 2θ (°) | d [Å] | I_rel |
| --- | --- | --- | --- |
| 2 0 -1 | 18.1 | 4.888 | 100 |
| 4 0 1 | 35.6 | 2.522 | 35 |
| 1 3 -2 | 43.1 | 2.099 | 65 |
| 3 3 -3 | 56.7 | 1.623 | 10 |
| 7 3 -2 | 62.4 | 1.489 | 11 |
| 5 3 2 | 62.8 | 1.479 | 12 |

Crystal structure
Lattice parameters (Å, degrees): 12.9595 8.8601 5.9757 90.00 103.86 90.00
Space group C2/m (No. 12)
One atom of each set of equivalent atoms:
Li 0.0000 0.1682 0.0000 x4
Li 0.1681 0.3336 0.3314 x8
Mn 0.0000 0.1653 0.5000 x4
Mn 0.0000 0.5000 0.5000 x2
Cr 0.1662 0.0000 0.8330 x4
Cr 0.1680 0.3358 0.8335 x8
O 0.0040 0.3300 0.7184 x8
O 0.0068 0.0000 0.7246 x4
O 0.1519 0.5000 0.5878 x4
O 0.1550 0.1711 0.5976 x8
O 0.1713 0.1716 0.0605 x8
O 0.1771 0.5000 0.0707 x4

=====

(7)
Diffraction record for MoP4O12. The powder XRD pattern is simulated, not measured: it uses a DFT-relaxed cell (GGA+U, the Materials Project) and λ = 1.5418 Å (Cu Kα).
Neutral-atom scattering factors, no anomalous dispersion.

Main lines, by angle (2θ = 10–80°):
| (hkl) | 2θ (°) | d [Å] | I_rel |
| --- | --- | --- | --- |
| 2 0 0 | 13.6 | 6.498 | 51 |
| 3 1 -1 | 21.2 | 4.196 | 66 |
| 0 0 2 | 21.7 | 4.087 | 70 |
| 1 1 -2 | 22.5 | 3.946 | 40 |
| 3 1 0 | 23.8 | 3.733 | 43 |
| 2 2 -1 | 27.0 | 3.302 | 100 |

Crystal structure
Lattice parameters (Å, degrees): 15.2694 7.4107 9.6046 90.00 121.67 90.00
Space group C2/c (No. 15)
One atom of each set of equivalent atoms:
Mo 0.0000 0.1437 0.2500 x4
P 0.1275 0.4333 0.1312 x8
P 0.1407 0.1710 0.6727 x8
O 0.0701 0.0684 0.7096 x8
O 0.0705 0.4371 0.9518 x8
O 0.0970 0.3045 0.2239 x8
O 0.1190 0.1482 0.5013 x8
O 0.1422 0.3755 0.7219 x8
O 0.2464 0.3886 0.1949 x8

=====

(8)
Diffraction record for Li2FePCO7. The powder XRD pattern is simulated, not measured: it uses a DFT-relaxed cell (GGA+U, the Materials Project) and λ = 1.5418 Å (Cu Kα).
Neutral-atom scattering factors, no anomalous dispersion.

Main lines, by angle (2θ = 10–80°):
| (hkl) | 2θ (°) | d [Å] | I_rel |
| --- | --- | --- | --- |
| 0 1 0 | 10.7 | 8.282 | 82 |
| 0 1 -2 | 19.7 | 4.513 | 51 |
| 0 1 2 | 21.4 | 4.159 | 67 |
| 0 2 -2 | 26.5 | 3.362 | 35 |
| 2 0 0 | 27.6 | 3.237 | 100 |
| 4 0 0 | 56.9 | 1.618 | 22 |

Crystal structure
Lattice parameters (Å, degrees): 6.4742 8.3178 10.1872 95.25 90.14 90.63
Space group P1 (No. 1)
One atom of each set of equivalent atoms:
Li 0.0000 0.0000 0.0000 x1
Li 0.0013 0.0030 0.4991 x1
Li 0.2268 0.8227 0.7431 x1
Li 0.2291 0.8235 0.2435 x1
Li 0.5066 0.4468 0.7520 x1
Li 0.7103 0.6257 0.0076 x1
Li 0.7160 0.6262 0.5056 x1
Li 0.9335 0.4470 0.2517 x1
Fe 0.2153 0.3964 0.5245 x1
Fe 0.2205 0.3967 0.0238 x1
Fe 0.7058 0.0535 0.2244 x1
Fe 0.7136 0.0531 0.7246 x1
P 0.2050 0.1450 0.2622 x1
P 0.2200 0.1444 0.7625 x1
P 0.7212 0.3043 0.9864 x1
P 0.7245 0.3052 0.4864 x1
C 0.2081 0.6850 0.4746 x1
C 0.2117 0.6854 0.9745 x1
C 0.7198 0.7652 0.7748 x1
C 0.7355 0.7656 0.2745 x1
O 0.0286 0.0258 0.2115 x1
O 0.0352 0.0400 0.7045 x1
O 0.1829 0.1858 0.4138 x1
O 0.1845 0.1870 0.9128 x1
O 0.1847 0.8259 0.9390 x1
O 0.1850 0.8269 0.4407 x1
O 0.1917 0.3041 0.1960 x1
O 0.2082 0.6500 0.0977 x1
O 0.2131 0.5597 0.3863 x1
O 0.2276 0.6499 0.5973 x1
O 0.2427 0.5614 0.8874 x1
O 0.2512 0.3030 0.6967 x1
O 0.4009 0.0451 0.2297 x1
O 0.4065 0.0305 0.7380 x1
O 0.5282 0.4041 0.0278 x1
O 0.5331 0.4079 0.5298 x1
O 0.6895 0.6251 0.8106 x1
O 0.7136 0.2633 0.8342 x1
O 0.7139 0.8003 0.1517 x1
O 0.7151 0.8001 0.6513 x1
O 0.7313 0.2633 0.3343 x1
O 0.7324 0.8915 0.3624 x1
O 0.7363 0.1466 0.5532 x1
O 0.7419 0.1460 0.0530 x1
O 0.7520 0.8903 0.8613 x1
O 0.7559 0.6242 0.3087 x1
O 0.9020 0.4235 0.0290 x1
O 0.9066 0.4227 0.5258 x1

=====

(9)
Diffraction record for Li9Mn2Co5O16. The powder XRD pattern is simulated, not measured: it uses a DFT-relaxed cell (GGA+U, the Materials Project) and λ = 1.5418 Å (Cu Kα).
Neutral-atom scattering factors, no anomalous dispersion.

Main lines, by angle (2θ = 10–80°):
| (hkl) | 2θ (°) | d [Å] | I_rel |
| --- | --- | --- | --- |
| 1 0 0 | 18.5 | 4.790 | 100 |
| 1 0 -2 | 34.7 | 2.584 | 18 |
| 0 4 1 | 36.8 | 2.442 | 25 |
| 2 0 -2 | 41.8 | 2.161 | 32 |
| 1 4 1 | 44.8 | 2.023 | 52 |
| 1 4 -3 | 62.8 | 1.480 | 15 |

Crystal structure
Lattice parameters (Å, degrees): 5.1839 11.3351 5.2119 90.00 112.49 90.00
Space group P2 (No. 3)
One atom of each set of equivalent atoms:
Li 0.0000 0.0000 0.0000 x1
Li 0.0000 0.1201 0.5000 x1
Li 0.0000 0.2433 0.0000 x1
Li 0.0000 0.3718 0.5000 x1
Li 0.0000 0.4942 0.0000 x1
Li 0.0000 0.6222 0.5000 x1
Li 0.0000 0.7505 0.0000 x1
Li 0.0000 0.8724 0.5000 x1
Li 0.5000 0.1215 0.0000 x1
Mn 0.5000 0.2463 0.5000 x1
Mn 0.5000 0.6221 0.0000 x1
Co 0.5000 0.3705 0.0000 x1
Co 0.5000 0.4966 0.5000 x1
Co 0.5000 0.7492 0.5000 x1
Co 0.5000 0.8750 0.0000 x1
Co 0.5000 0.9969 0.5000 x1
O 0.2632 0.1205 0.2823 x2
O 0.2671 0.3714 0.2710 x2
O 0.2693 0.8741 0.2774 x2
O 0.2698 0.6227 0.2806 x2
O 0.2712 0.4954 0.7687 x2
O 0.2712 0.7497 0.7707 x2
O 0.2888 0.2525 0.7431 x2
O 0.2949 0.9898 0.7397 x2